[1]
Simulated PXRD pattern of Cr5Rh3 for a wavelength of 1.5418 Å, from DFT lattice parameters and positions (GGA-PBE).
Intensities are scaled so that the largest is 100.

Largest 8 diffraction maxima, by angle, 5 to 70 degrees two-theta:
| Position (°2θ) | d [Å] | I_rel |
| --- | --- | --- |
| 30.2 | 2.957 | 33 |
| 33.3 | 2.693 | 36 |
| 39.1 | 2.305 | 46 |
| 39.7 | 2.272 | 84 |
| 41.3 | 2.185 | 29 |
| 42.1 | 2.146 | 100 |
| 45.9 | 1.978 | 69 |
| 51.4 | 1.778 | 25 |

```
16
Lattice="6.634 0.000 0.000 0.000 4.610 0.000 -3.304 0.000 7.104" Properties=species:S:1:pos:R:3 pbc="T T T"
Cr -0.853 1.152 1.993
Cr -0.527 3.457 3.527
Cr -0.801 1.152 5.096
Cr 1.654 2.368 1.394
Cr 1.654 4.547 1.394
Cr 1.677 0.063 5.710
Cr 1.677 2.242 5.710
Cr 4.132 3.457 2.008
Cr 3.858 1.152 3.577
Cr 4.184 3.457 5.111
Rh -2.819 1.152 6.508
Rh -0.385 3.457 6.452
Rh 1.111 1.152 3.497
Rh 2.220 3.457 3.607
Rh 3.716 1.152 0.652
Rh 6.150 3.457 0.596
```



[2]
Simulated PXRD pattern of Cr3Rh4 for a wavelength of 1.5418 Å, from DFT lattice parameters and positions (GGA-PBE).
Intensities are scaled so that the largest is 100.

Largest 8 diffraction maxima, by angle, 5 to 70 degrees two-theta:
| Position (°2θ) | d [Å] | I_rel |
| --- | --- | --- |
| 14.9 | 5.936 | 14 |
| 30.9 | 2.893 | 16 |
| 34.2 | 2.619 | 5 |
| 41.3 | 2.187 | 100 |
| 41.5 | 2.178 | 95 |
| 43.3 | 2.089 | 4 |
| 47.7 | 1.906 | 33 |
| 48.4 | 1.882 | 61 |

```
14
Lattice="8.457 0.000 0.000 0.000 3.766 0.000 -0.932 0.000 5.936" Properties=species:S:1:pos:R:3 pbc="T T T"
Cr 0.000 0.000 0.000
Cr 1.630 1.883 0.897
Cr 1.666 0.000 5.039
Cr 4.229 1.883 0.000
Cr 5.859 0.000 0.897
Cr 5.895 1.883 5.039
Rh -0.014 1.883 4.366
Rh 0.806 0.000 2.487
Rh 2.490 1.883 3.449
Rh 3.311 0.000 1.570
Rh 4.214 0.000 4.366
Rh 5.034 1.883 2.487
Rh 6.719 0.000 3.449
Rh 7.539 1.883 1.570
```



[3]
Simulated PXRD pattern of Cr4Rh3 for a wavelength of 1.5418 Å, from DFT lattice parameters and positions (GGA-PBE).
Intensities are scaled so that the largest is 100.

Largest 8 diffraction maxima, by angle, 5 to 70 degrees two-theta:
| Position (°2θ) | d [Å] | I_rel |
| --- | --- | --- |
| 33.2 | 2.695 | 21 |
| 37.2 | 2.414 | 4 |
| 41.6 | 2.170 | 8 |
| 42.7 | 2.120 | 100 |
| 44.1 | 2.054 | 50 |
| 59.7 | 1.550 | 6 |
| 62.2 | 1.492 | 9 |
| 64.1 | 1.452 | 15 |

```
14
Lattice="2.905 0.000 0.000 0.000 2.905 0.000 0.000 0.000 21.699" Properties=species:S:1:pos:R:3 pbc="T T T"
Cr 0.000 0.000 1.668
Cr 0.000 0.000 7.975
Cr 0.000 0.000 13.724
Cr 0.000 0.000 20.031
Cr 1.452 1.452 2.874
Cr 1.452 1.452 9.182
Cr 1.452 1.452 12.517
Cr 1.452 1.452 18.824
Rh 0.000 0.000 4.473
Rh 0.000 0.000 10.849
Rh 0.000 0.000 17.226
Rh 1.452 1.452 0.000
Rh 1.452 1.452 6.377
Rh 1.452 1.452 15.322
```



[4]
Simulated PXRD pattern of Cr3Rh for a wavelength of 1.5418 Å, from DFT lattice parameters and positions (GGA-PBE).
Intensities are scaled so that the largest is 100.

Largest 8 diffraction maxima, by angle, 5 to 70 degrees two-theta:
| Position (°2θ) | d [Å] | I_rel |
| --- | --- | --- |
| 19.8 | 4.486 | 6 |
| 20.9 | 4.248 | 6 |
| 26.6 | 3.350 | 5 |
| 36.4 | 2.469 | 3 |
| 40.9 | 2.205 | 2 |
| 42.6 | 2.123 | 100 |
| 48.7 | 1.869 | 16 |
| 50.0 | 1.824 | 30 |

```
8
Lattice="8.597 0.000 0.000 0.000 2.580 0.000 -0.693 0.000 4.486" Properties=species:S:1:pos:R:3 pbc="T T T"
Cr 0.000 0.000 0.000
Cr 1.586 0.000 3.386
Cr 2.019 1.290 1.100
Cr 4.298 1.290 0.000
Cr 5.885 1.290 3.386
Cr 6.317 0.000 1.100
Rh -0.347 1.290 2.243
Rh 3.952 0.000 2.243
```



[5]
Simulated PXRD pattern of Cr3Rh7 for a wavelength of 1.5418 Å, from DFT lattice parameters and positions (GGA-PBE).
Intensities are scaled so that the largest is 100.

Largest 8 diffraction maxima, by angle, 5 to 70 degrees two-theta:
| Position (°2θ) | d [Å] | I_rel |
| --- | --- | --- |
| 23.7 | 3.756 | 3 |
| 24.3 | 3.664 | 2 |
| 33.2 | 2.700 | 3 |
| 41.2 | 2.192 | 100 |
| 47.5 | 1.915 | 17 |
| 47.8 | 1.904 | 16 |
| 48.5 | 1.878 | 15 |
| 69.6 | 1.350 | 10 |

```
10
Lattice="6.870 -1.904 0.000 6.870 1.904 0.000 -1.146 0.000 5.233" Properties=species:S:1:pos:R:3 pbc="T T T"
Cr 0.000 0.000 0.000
Cr 1.998 0.000 3.190
Cr 10.597 0.000 2.043
Rh -0.573 0.000 2.617
Rh 2.655 0.000 0.597
Rh 4.643 0.000 3.606
Rh 5.281 0.000 1.023
Rh 7.313 0.000 4.210
Rh 7.951 0.000 1.627
Rh 9.939 0.000 4.636
```



[6]
Simulated PXRD pattern of Cr3Rh4 for a wavelength of 1.5418 Å, from DFT lattice parameters and positions (GGA-PBE).
Intensities are scaled so that the largest is 100.

Largest 8 diffraction maxima, by angle, 5 to 70 degrees two-theta:
| Position (°2θ) | d [Å] | I_rel |
| --- | --- | --- |
| 6.9 | 12.899 | 6 |
| 13.7 | 6.449 | 7 |
| 34.8 | 2.580 | 5 |
| 35.1 | 2.556 | 10 |
| 41.7 | 2.166 | 100 |
| 48.1 | 1.893 | 34 |
| 49.5 | 1.843 | 13 |
| 60.7 | 1.526 | 4 |

```
14
Lattice="2.676 0.000 0.000 0.000 2.676 0.000 0.000 0.000 25.798" Properties=species:S:1:pos:R:3 pbc="T T T"
Cr 0.000 0.000 0.000
Cr 0.000 0.000 7.355
Cr 0.000 0.000 18.443
Cr 1.338 1.338 5.544
Cr 1.338 1.338 12.899
Cr 1.338 1.338 20.254
Rh 0.000 0.000 3.838
Rh 0.000 0.000 11.173
Rh 0.000 0.000 14.625
Rh 0.000 0.000 21.960
Rh 1.338 1.338 1.726
Rh 1.338 1.338 9.061
Rh 1.338 1.338 16.737
Rh 1.338 1.338 24.072
```



[7]
Simulated PXRD pattern of CrRh4 for a wavelength of 1.5418 Å, from DFT lattice parameters and positions (GGA-PBE).
Intensities are scaled so that the largest is 100.

Largest 8 diffraction maxima, by angle, 5 to 70 degrees two-theta:
| Position (°2θ) | d [Å] | I_rel |
| --- | --- | --- |
| 9.4 | 9.411 | 4 |
| 33.5 | 2.672 | 3 |
| 36.2 | 2.479 | 4 |
| 38.3 | 2.353 | 2 |
| 41.2 | 2.193 | 100 |
| 47.7 | 1.908 | 33 |
| 48.4 | 1.882 | 14 |
| 69.7 | 1.349 | 10 |

```
10
Lattice="2.699 0.000 0.000 0.000 2.699 0.000 0.000 0.000 18.822" Properties=species:S:1:pos:R:3 pbc="T T T"
Cr 0.000 0.000 0.000
Cr 1.349 1.349 9.411
Rh 0.000 0.000 3.771
Rh 0.000 0.000 7.674
Rh 0.000 0.000 11.147
Rh 0.000 0.000 15.050
Rh 1.349 1.349 1.736
Rh 1.349 1.349 5.639
Rh 1.349 1.349 13.182
Rh 1.349 1.349 17.085
```



[8]
Simulated PXRD pattern of CrRh2 for a wavelength of 1.5418 Å, from DFT lattice parameters and positions (GGA-PBE).
Intensities are scaled so that the largest is 100.

Largest 8 diffraction maxima, by angle, 5 to 70 degrees two-theta:
| Position (°2θ) | d [Å] | I_rel |
| --- | --- | --- |
| 32.3 | 2.770 | 7 |
| 34.3 | 2.616 | 10 |
| 41.5 | 2.175 | 100 |
| 47.8 | 1.903 | 34 |
| 49.3 | 1.847 | 14 |
| 58.9 | 1.569 | 5 |
| 68.8 | 1.364 | 5 |
| 69.9 | 1.346 | 10 |

```
6
Lattice="2.692 0.000 0.000 0.000 2.692 0.000 0.000 0.000 11.080" Properties=species:S:1:pos:R:3 pbc="T T T"
Cr 0.000 0.000 0.000
Cr 1.346 1.346 5.540
Rh 0.000 0.000 3.808
Rh 0.000 0.000 7.272
Rh 1.346 1.346 1.732
Rh 1.346 1.346 9.348
```



[9]
Simulated PXRD pattern of Cr6Rh5 for a wavelength of 1.5418 Å, from DFT lattice parameters and positions (GGA-PBE).
Intensities are scaled so that the largest is 100.

Largest 8 diffraction maxima, by angle, 5 to 70 degrees two-theta:
| Position (°2θ) | d [Å] | I_rel |
| --- | --- | --- |
| 13.9 | 6.389 | 10 |
| 32.3 | 2.768 | 10 |
| 42.3 | 2.135 | 100 |
| 42.4 | 2.130 | 32 |
| 46.3 | 1.961 | 53 |
| 55.0 | 1.670 | 12 |
| 67.4 | 1.389 | 9 |
| 67.7 | 1.384 | 12 |

```
11
Lattice="4.339 0.000 0.000 0.004 5.556 0.000 0.963 0.007 6.389" Properties=species:S:1:pos:R:3 pbc="T T T"
Cr 0.004 1.316 0.001
Cr 1.541 1.327 1.879
Cr 1.543 4.239 1.874
Cr 3.763 1.324 4.515
Cr 3.765 4.236 4.510
Cr 5.302 4.247 6.388
Rh 1.582 2.782 4.114
Rh 1.611 5.559 4.140
Rh 2.172 2.778 0.000
Rh 3.696 0.004 2.249
Rh 3.725 2.781 2.275
```



[10]
Simulated PXRD pattern of Cr3Rh for a wavelength of 1.5418 Å, from DFT lattice parameters and positions (GGA-PBE).
Intensities are scaled so that the largest is 100.

Largest 6 diffraction maxima, by angle, 5 to 70 degrees two-theta:
| Position (°2θ) | d [Å] | I_rel |
| --- | --- | --- |
| 24.2 | 3.675 | 13 |
| 34.5 | 2.599 | 10 |
| 42.6 | 2.122 | 100 |
| 49.6 | 1.837 | 47 |
| 55.9 | 1.644 | 6 |
| 61.8 | 1.500 | 4 |

```
4
Lattice="3.675 0.000 0.000 0.000 3.675 0.000 0.000 0.000 3.675" Properties=species:S:1:pos:R:3 pbc="T T T"
Cr 0.000 0.000 1.837
Cr 0.000 1.837 0.000
Cr 1.837 0.000 0.000
Rh 1.837 1.837 1.837
```



[11]
Simulated PXRD pattern of Cr2RuRh3 for a wavelength of 1.5418 Å, from DFT lattice parameters and positions (GGA-PBE).
Intensities are scaled so that the largest is 100.

Largest 8 diffraction maxima, by angle, 5 to 70 degrees two-theta:
| Position (°2θ) | d [Å] | I_rel |
| --- | --- | --- |
| 13.6 | 6.501 | 3 |
| 23.6 | 3.766 | 7 |
| 27.4 | 3.250 | 2 |
| 33.6 | 2.664 | 4 |
| 33.7 | 2.656 | 2 |
| 41.5 | 2.176 | 100 |
| 41.7 | 2.167 | 32 |
| 48.4 | 1.882 | 63 |

```
6
Lattice="4.617 0.000 0.000 0.000 2.667 0.000 -0.011 0.000 6.501" Properties=species:S:1:pos:R:3 pbc="T T T"
Cr 0.793 0.000 1.089
Cr 3.814 0.000 5.412
Ru 2.303 0.000 3.250
Rh -0.005 1.333 3.250
Rh 1.469 1.333 5.468
Rh 3.138 1.333 1.032
```



[12]
Simulated PXRD pattern of Cr3Ru3Rh2 for a wavelength of 1.5418 Å, from DFT lattice parameters and positions (GGA-PBE).
Intensities are scaled so that the largest is 100.

Largest 8 diffraction maxima, by angle, 5 to 70 degrees two-theta:
| Position (°2θ) | d [Å] | I_rel |
| --- | --- | --- |
| 11.7 | 7.567 | 2 |
| 24.7 | 3.610 | 6 |
| 29.5 | 3.026 | 4 |
| 38.1 | 2.363 | 2 |
| 41.6 | 2.171 | 100 |
| 48.1 | 1.891 | 32 |
| 49.0 | 1.859 | 15 |
| 54.8 | 1.675 | 2 |

```
16
Lattice="3.717 0.000 0.000 0.000 3.781 0.000 0.000 0.000 15.134" Properties=species:S:1:pos:R:3 pbc="T T T"
Cr 0.000 0.000 0.000
Cr 0.000 1.891 1.820
Cr 0.000 1.891 13.314
Cr 1.859 0.000 5.747
Cr 1.859 0.000 9.387
Cr 1.859 1.891 7.567
Ru 0.000 0.000 7.567
Ru 0.000 1.891 5.702
Ru 0.000 1.891 9.433
Ru 1.859 0.000 1.866
Ru 1.859 0.000 13.269
Ru 1.859 1.891 0.000
Rh 0.000 0.000 3.789
Rh 0.000 0.000 11.345
Rh 1.859 1.891 3.778
Rh 1.859 1.891 11.356
```



[13]
Simulated PXRD pattern of CrRu3Rh6 for a wavelength of 1.5418 Å, from DFT lattice parameters and positions (GGA-PBE).
Intensities are scaled so that the largest is 100.

Largest 8 diffraction maxima, by angle, 5 to 70 degrees two-theta:
| Position (°2θ) | d [Å] | I_rel |
| --- | --- | --- |
| 33.6 | 2.670 | 8 |
| 38.6 | 2.333 | 100 |
| 39.7 | 2.270 | 33 |
| 42.0 | 2.150 | 14 |
| 45.2 | 2.006 | 88 |
| 58.4 | 1.581 | 11 |
| 65.1 | 1.434 | 19 |
| 66.6 | 1.404 | 21 |

```
10
Lattice="4.966 0.000 0.000 -2.483 4.301 0.000 0.000 0.000 6.810" Properties=species:S:1:pos:R:3 pbc="T T T"
Cr 0.000 0.000 0.000
Ru 0.000 0.000 3.405
Ru 0.000 2.867 3.405
Ru 2.483 1.434 3.405
Rh -0.968 1.677 5.525
Rh -1.515 2.624 1.285
Rh 1.936 0.000 5.525
Rh 0.968 1.677 1.285
Rh 3.030 0.000 1.285
Rh 1.515 2.624 5.525
```



[14]
Simulated PXRD pattern of Cr3RuRh12 for a wavelength of 1.5418 Å, from DFT lattice parameters and positions (GGA-PBE).
Intensities are scaled so that the largest is 100.

Largest 8 diffraction maxima, by angle, 5 to 70 degrees two-theta:
| Position (°2θ) | d [Å] | I_rel |
| --- | --- | --- |
| 5.8 | 15.230 | 2 |
| 23.3 | 3.812 | 3 |
| 33.2 | 2.696 | 3 |
| 41.0 | 2.201 | 100 |
| 47.7 | 1.906 | 48 |
| 53.8 | 1.705 | 2 |
| 59.4 | 1.556 | 1 |
| 69.8 | 1.348 | 30 |

```
16
Lattice="3.815 0.000 0.000 0.000 3.815 0.000 0.000 0.000 15.230" Properties=species:S:1:pos:R:3 pbc="T T T"
Cr 0.000 0.000 0.000
Cr 0.000 0.000 3.750
Cr 0.000 0.000 11.480
Ru 0.000 0.000 7.615
Rh 0.000 1.907 1.901
Rh 0.000 1.907 5.699
Rh 0.000 1.907 9.531
Rh 0.000 1.907 13.330
Rh 1.907 0.000 1.901
Rh 1.907 0.000 5.699
Rh 1.907 0.000 9.531
Rh 1.907 0.000 13.330
Rh 1.907 1.907 0.000
Rh 1.907 1.907 3.805
Rh 1.907 1.907 7.615
Rh 1.907 1.907 11.425
```